# 1
Simulated X-ray diffraction stick pattern of La6Sm2Ag for copper Kα, from DFT lattice parameters and positions (PBE).
Intensities are scaled so that the largest is 100.

Structural model:
```
data_La6Sm2Ag
_cell_length_a 3.759
_cell_length_b 16.944
_cell_length_c 9.795
_cell_angle_alpha 90.00
_cell_angle_beta 90.00
_cell_angle_gamma 90.00
_space_group_name_H-M_alt 'A m m 2'
_space_group_IT_number 38
_space_group_name_Hall 'A 2 -2'
loop_
_atom_site_label
_atom_site_fract_x
_atom_site_fract_y
_atom_site_fract_z
_atom_site_occupancy
La1 0.000 0.000 0.000 1
La2 0.000 0.134 0.597 1
La3 0.500 0.000 0.352 1
La4 0.500 0.190 0.922 1
Sm1 0.000 0.167 0.232 1
Ag1 0.500 0.000 0.732 1
```

Principal peaks in the range 2θ from 10° to 90°, by angle:
d_spacing, 2θ/deg, I (rel.), (hkl)
3.204, 27.84, 46, 0 5 1
2.981, 29.98, 100, 1 0 2
2.826, 31.66, 90, 0 6 0
2.812, 31.82, 58, 1 2 2
2.438, 36.86, 36, 1 5 1
1.879, 48.44, 15, 2 0 0
1.727, 53.02, 41, 1 8 2
1.565, 59.03, 30, 2 6 0



# 2
Simulated X-ray diffraction stick pattern of PmDyBi2 for copper Kα, from DFT lattice parameters and positions (PBE).
Intensities are scaled so that the largest is 100.

Structural model:
```
data_PmDyBi2
_cell_length_a 4.5164
_cell_length_b 4.5164
_cell_length_c 14.9748
_cell_angle_alpha 90.00
_cell_angle_beta 90.00
_cell_angle_gamma 120.00
_space_group_name_H-M_alt 'P 63/m m c'
_space_group_IT_number 194
_space_group_name_Hall '-P 6c 2c'
loop_
_atom_site_label
_atom_site_fract_x
_atom_site_fract_y
_atom_site_fract_z
_atom_site_occupancy
Pm1 0.0000 0.0000 0.0000 1
Dy1 0.3333 0.6667 0.2500 1
Bi1 0.3333 0.6667 0.6256 1
```

Principal peaks in the range 2θ from 10° to 90°, by angle:
d_spacing, 2θ/deg, I (rel.), (hkl)
3.467, 25.70, 47, 1 0 2
3.079, 29.00, 100, 1 0 3
2.705, 33.12, 35, 1 0 4
2.378, 37.83, 52, 1 0 5
2.258, 39.92, 74, 1 1 0
1.821, 50.10, 23, 2 0 3
1.441, 64.68, 37, 1 1 8
1.417, 65.89, 20, 2 1 3